1.
For Cu3Ag7, the GGA-PBE geometry in OQMD gives the calculated powder diffractogram in this record (Cu Ka).
Lines closer than 0.1° are merged.

```
Cu3Ag7
1.0
11.579 -1.436 0.000
11.579 1.436 0.000
-0.343 0.000 4.880
Cu Ag
3 7
Cartesian
0.000 0.000 0.000
4.579 0.000 1.975
18.236 0.000 2.905
2.090 0.000 3.413
6.875 0.000 0.531
8.954 0.000 3.903
11.408 0.000 2.440
13.862 0.000 0.977
15.940 0.000 4.349
20.725 0.000 1.467
```

Principal peaks in the range 5° ≤ 2θ ≤ 70°, in order of falling intensity:
two_theta  I (rel.)
38.60  100
39.02  96
45.00  63
65.82  38
45.38  31
64.95  10
66.10  9
19.24  5
36.85  2
23.09  2

***

2.
For CuAg9, the GGA-PBE geometry in OQMD gives the calculated powder diffractogram in this record (Cu Ka).
Lines closer than 0.1° are merged.

```
CuAg9
1.0
5.028 0.000 0.000
-0.019 7.696 0.000
-1.660 -1.131 8.987
Cu Ag
2 18
Cartesian
-0.039 2.224 4.058
3.388 4.341 4.929
-0.830 -0.565 4.494
-0.005 3.281 1.388
-0.826 5.986 7.148
0.805 6.044 0.921
0.038 1.077 6.678
0.797 4.884 3.638
1.676 1.101 0.439
0.832 3.796 6.222
1.630 0.040 3.168
2.505 3.848 0.000
1.719 6.525 5.819
2.518 2.768 2.766
1.674 5.464 8.549
2.553 1.681 5.349
3.311 5.488 2.309
2.545 0.521 8.067
4.176 0.579 1.840
3.355 3.284 7.600
```

Principal peaks in the range 5° ≤ 2θ ≤ 70°, in order of falling intensity:
two_theta  I (rel.)
37.89  100
44.10  32
64.06  20
43.93  16
63.86  5
64.16  5
35.28  1